The following is a calculated X-ray powder pattern of Pr2In2O5. It was derived from a crystal structure in OQMD, relaxed with PBE, using Cu Kα (weighted mean of Kα1 and Kα2).

Structure:
```
data_Pr2In2O5
_chemical_formula_sum 'Pr2 In2 O5'
_cell_length_a 4.1847
_cell_length_b 4.1847
_cell_length_c 9.1063
_cell_angle_alpha 90.00
_cell_angle_beta 90.00
_cell_angle_gamma 90.00
_space_group_name_H-M_alt 'P 4/m m m'
_space_group_IT_number 123
_space_group_name_Hall '-P 4 2'
loop_
_atom_site_label
_atom_site_type_symbol
_atom_site_fract_x
_atom_site_fract_y
_atom_site_fract_z
Pr1 Pr 0.0000 0.0000 0.2448
In1 In 0.5000 0.5000 0.0000
In2 In 0.5000 0.5000 0.5000
O1 O 0.0000 0.0000 0.5000
O2 O 0.0000 0.5000 0.1450
```

Top 10 peaks for 2θ = 5–70°, sorted by position:
4.185 Å, 21.23°, I = 2.0
3.081 Å, 28.98°, I = 100.0
2.959 Å, 30.20°, I = 39.0
2.277 Å, 39.59°, I = 9.7
2.092 Å, 43.24°, I = 23.8
1.804 Å, 50.59°, I = 28.4
1.731 Å, 52.89°, I = 37.2
1.541 Å, 60.06°, I = 11.6
1.480 Å, 62.81°, I = 7.4
1.427 Å, 65.41°, I = 9.6



The following is a calculated X-ray powder pattern of PrTh3P4. It was derived from a crystal structure in OQMD, relaxed with PBE, using Cu Kα (weighted mean of Kα1 and Kα2).

Structure:
```
data_PrTh3P4
_chemical_formula_sum 'Pr1 Th3 P4'
_cell_length_a 5.8729
_cell_length_b 5.8729
_cell_length_c 5.8729
_cell_angle_alpha 90.00
_cell_angle_beta 90.00
_cell_angle_gamma 90.00
_space_group_name_H-M_alt 'P m -3 m'
_space_group_IT_number 221
_space_group_name_Hall '-P 4 2 3'
loop_
_atom_site_label
_atom_site_type_symbol
_atom_site_fract_x
_atom_site_fract_y
_atom_site_fract_z
Pr1 Pr 0.0000 0.0000 0.0000
Th1 Th 0.0000 0.5000 0.5000
P1 P 0.0000 0.0000 0.5000
P2 P 0.5000 0.5000 0.5000
```

Top 10 peaks for 2θ = 5–70°, sorted by position:
5.873 Å, 15.09°, I = 3.5
4.153 Å, 21.40°, I = 3.3
3.391 Å, 26.28°, I = 100.0
2.936 Å, 30.44°, I = 98.0
2.626 Å, 34.14°, I = 2.2
2.076 Å, 43.59°, I = 73.6
1.771 Å, 51.62°, I = 51.0
1.695 Å, 54.09°, I = 26.2
1.468 Å, 63.35°, I = 12.3
1.347 Å, 69.80°, I = 21.0



The following is a calculated X-ray powder pattern of TePd12. It was derived from a crystal structure in OQMD, relaxed with PBE, using Cu Kα (weighted mean of Kα1 and Kα2).

Structure:
```
data_TePd12
_chemical_formula_sum 'Te2 Pd24'
_cell_length_a 6.7253
_cell_length_b 2.8276
_cell_length_c 34.4601
_cell_angle_alpha 90.00
_cell_angle_beta 90.30
_cell_angle_gamma 90.00
_space_group_name_H-M_alt 'P 1 21/m 1'
_space_group_IT_number 11
loop_
_space_group_symop_operation_xyz
'x,y,z'
'-x,-y,-z'
'-x,y+1/2,-z'
'x,-y+1/2,z'
loop_
_atom_site_label
_atom_site_type_symbol
_atom_site_fract_x
_atom_site_fract_y
_atom_site_fract_z
Te1 Te 0.1692 0.2500 0.2879
Pd1 Pd 0.1642 0.2500 0.1500
Pd2 Pd 0.1651 0.2500 0.7313
Pd3 Pd 0.1652 0.7500 0.0807
Pd4 Pd 0.1647 0.7500 0.2191
Pd5 Pd 0.1663 0.2500 0.0114
Pd6 Pd 0.1671 0.7500 0.9422
Pd7 Pd 0.1690 0.2500 0.8726
Pd8 Pd 0.1753 0.7500 0.8028
Pd9 Pd 0.4971 0.7500 0.1734
Pd10 Pd 0.4970 0.7500 0.7538
Pd11 Pd 0.4987 0.2500 0.1036
Pd12 Pd 0.4994 0.7500 0.0345
```

Top 10 peaks for 2θ = 5–70°, sorted by position:
17.230 Å, 5.13°, I = 100.0
8.615 Å, 10.27°, I = 15.9
2.315 Å, 38.90°, I = 29.3
2.302 Å, 39.14°, I = 65.9
2.241 Å, 40.24°, I = 39.1
2.228 Å, 40.49°, I = 27.5
2.178 Å, 41.47°, I = 19.3
1.983 Å, 45.76°, I = 60.2
1.936 Å, 46.92°, I = 16.6
1.385 Å, 67.65°, I = 12.6



The following is a calculated X-ray powder pattern of Zn5CoBi3. It was derived from a crystal structure in OQMD, relaxed with PBE, using Cu Kα (weighted mean of Kα1 and Kα2).

Structure:
```
data_Zn5CoBi3
_chemical_formula_sum 'Zn5 Co1 Bi3'
_cell_length_a 7.1584
_cell_length_b 7.1584
_cell_length_c 4.0729
_cell_angle_alpha 90.00
_cell_angle_beta 90.00
_cell_angle_gamma 120.00
_space_group_name_H-M_alt 'P -6 2 m'
_space_group_IT_number 189
_space_group_name_Hall 'P -6 -2'
loop_
_atom_site_label
_atom_site_type_symbol
_atom_site_fract_x
_atom_site_fract_y
_atom_site_fract_z
Zn1 Zn 0.0000 0.2247 0.0000
Zn2 Zn 0.3333 0.6667 0.0000
Co1 Co 0.0000 0.0000 0.5000
Bi1 Bi 0.0000 0.6310 0.5000
```

Top 10 peaks for 2θ = 5–70°, sorted by position:
4.073 Å, 21.82°, I = 9.5
3.579 Å, 24.88°, I = 34.5
2.689 Å, 33.33°, I = 100.0
2.467 Å, 36.43°, I = 21.9
2.343 Å, 38.42°, I = 16.8
2.066 Å, 43.81°, I = 25.7
2.036 Å, 44.49°, I = 16.1
1.843 Å, 49.46°, I = 13.3
1.770 Å, 51.64°, I = 10.4
1.450 Å, 64.22°, I = 18.5



The following is a calculated X-ray powder pattern of Sm2Ni2B3N. It was derived from a crystal structure in OQMD, relaxed with PBE, using Cu Kα (weighted mean of Kα1 and Kα2).

Structure:
```
data_Sm2Ni2B3N
_chemical_formula_sum 'Sm2 Ni2 B3 N1'
_cell_length_a 3.7031
_cell_length_b 3.7031
_cell_length_c 7.5263
_cell_angle_alpha 90.00
_cell_angle_beta 90.00
_cell_angle_gamma 90.00
_space_group_name_H-M_alt 'P 4 m m'
_space_group_IT_number 99
loop_
_space_group_symop_operation_xyz
'x,y,z'
'-y,x,z'
'-x,-y,z'
'y,-x,z'
'-x,y,z'
'y,x,z'
'x,-y,z'
'-y,-x,z'
loop_
_atom_site_label
_atom_site_type_symbol
_atom_site_fract_x
_atom_site_fract_y
_atom_site_fract_z
Sm1 Sm 0.0000 0.0000 0.0000
Sm2 Sm 0.5000 0.5000 0.3482
Ni1 Ni 0.0000 0.5000 0.6614
B1 B 0.0000 0.0000 0.5168
B2 B 0.5000 0.5000 0.7815
B3 B 0.5000 0.5000 0.9973
N1 N 0.0000 0.0000 0.3237
```

Top 10 peaks for 2θ = 5–70°, sorted by position:
3.323 Å, 26.83°, I = 100.0
2.639 Å, 33.96°, I = 57.7
2.618 Å, 34.24°, I = 20.8
2.509 Å, 35.79°, I = 40.9
2.473 Å, 36.33°, I = 60.3
2.149 Å, 42.04°, I = 54.1
1.852 Å, 49.21°, I = 37.2
1.617 Å, 56.93°, I = 26.7
1.516 Å, 61.14°, I = 21.5
1.490 Å, 62.33°, I = 31.3



The following is a calculated X-ray powder pattern of HoTlTe3Pt. It was derived from a crystal structure in OQMD, relaxed with PBE, using Cu Kα (weighted mean of Kα1 and Kα2).

Structure:
```
data_HoTlTe3Pt
_chemical_formula_sum 'Ho2 Tl2 Te6 Pt2'
_cell_length_a 8.8851
_cell_length_b 4.1494
_cell_length_c 11.0373
_cell_angle_alpha 90.00
_cell_angle_beta 111.75
_cell_angle_gamma 90.00
_space_group_name_H-M_alt 'P 1 21/m 1'
_space_group_IT_number 11
loop_
_space_group_symop_operation_xyz
'x,y,z'
'-x,-y,-z'
'-x,y+1/2,-z'
'x,-y+1/2,z'
loop_
_atom_site_label
_atom_site_type_symbol
_atom_site_fract_x
_atom_site_fract_y
_atom_site_fract_z
Ho1 Ho 0.1970 0.2500 0.1533
Tl1 Tl 0.2282 0.7500 0.7038
Te1 Te 0.0636 0.2500 0.8590
Te2 Te 0.2888 0.2500 0.4658
Te3 Te 0.4522 0.7500 0.1515
Pt1 Pt 0.3960 0.7500 0.3719
```

Top 10 peaks for 2θ = 5–70°, sorted by position:
8.048 Å, 10.99°, I = 55.3
3.415 Å, 26.09°, I = 39.2
3.314 Å, 26.90°, I = 31.0
3.274 Å, 27.24°, I = 37.6
3.032 Å, 29.46°, I = 100.0
2.926 Å, 30.55°, I = 28.2
2.751 Å, 32.54°, I = 76.2
2.637 Å, 34.00°, I = 41.3
2.242 Å, 40.23°, I = 35.3
2.075 Å, 43.63°, I = 41.4



The following is a calculated X-ray powder pattern of ZrSiGe. It was derived from a crystal structure in OQMD, relaxed with PBE, using Cu Kα (weighted mean of Kα1 and Kα2).

Structure:
```
data_ZrSiGe
_chemical_formula_sum 'Zr4 Si4 Ge4'
_cell_length_a 6.2911
_cell_length_b 6.2911
_cell_length_c 6.2911
_cell_angle_alpha 90.00
_cell_angle_beta 90.00
_cell_angle_gamma 90.00
_space_group_name_H-M_alt 'F -4 3 m'
_space_group_IT_number 216
_space_group_name_Hall 'F -4 2 3'
loop_
_atom_site_label
_atom_site_type_symbol
_atom_site_fract_x
_atom_site_fract_y
_atom_site_fract_z
Zr1 Zr 0.0000 0.0000 0.0000
Si1 Si 0.2500 0.2500 0.7500
Ge1 Ge 0.0000 0.0000 0.5000
```

Top 8 peaks for 2θ = 5–70°, sorted by position:
3.632 Å, 24.51°, I = 8.2
3.146 Å, 28.37°, I = 66.7
2.224 Å, 40.56°, I = 100.0
1.897 Å, 47.96°, I = 3.4
1.816 Å, 50.24°, I = 18.0
1.573 Å, 58.70°, I = 16.4
1.443 Å, 64.57°, I = 1.4
1.407 Å, 66.46°, I = 22.6